# 1
Structure and computed X-ray diffraction stick pattern of YNi4 (a DFT-relaxed cell (GGA-PBE, Alexandria); Cu Ka).
Lines closer than 0.1° are merged.

Principal peaks in the range 2θ = 5–70°, low angle first:
2θ (°)	intensity
30.0	21.4
35.7	80.3
36.6	79.3
38.2	18.9
39.4	76.3
42.1	27.0
46.2	100.0
46.8	17.4
52.5	27.2
57.7	20.1

Cell and atoms:
Lattice parameters (Å, degrees): 5.574 5.574 5.230 90.00 90.00 115.40
Fractional positions:
Y (0.235, 0.765, 0.750)
Y (0.765, 0.235, 0.250)
Ni (0.087, 0.913, 0.250)
Ni (0.300, 0.300, 0.000)
Ni (0.300, 0.300, 0.500)
Ni (0.329, 0.671, 0.250)
Ni (0.671, 0.329, 0.750)
Ni (0.700, 0.700, 0.000)
Ni (0.700, 0.700, 0.500)
Ni (0.913, 0.087, 0.750)

***

# 2
Structure and computed X-ray diffraction stick pattern of Er6Ga3H (a DFT-relaxed cell (GGA-PBE, Alexandria); Cu Ka).
Lines closer than 0.1° are merged.

Principal peaks in the range 2θ = 5–70°, low angle first:
2θ (°)	intensity
28.4	33.7
29.4	13.0
30.4	20.4
31.2	14.5
33.4	19.0
34.2	100.0
36.1	13.5
37.3	23.8
40.0	14.0
55.3	16.0

Cell and atoms:
Lattice parameters (Å, degrees): 8.827 8.827 6.073 90.00 90.00 99.36
Fractional positions:
Er (0.087, 0.913, 0.500)
Er (0.123, 0.533, 0.711)
Er (0.230, 0.320, 0.178)
Er (0.304, 0.696, 0.218)
Er (0.320, 0.230, 0.678)
Er (0.467, 0.877, 0.711)
Er (0.533, 0.123, 0.211)
Er (0.680, 0.770, 0.178)
Er (0.696, 0.304, 0.718)
Er (0.770, 0.680, 0.678)
Er (0.877, 0.467, 0.211)
Er (0.913, 0.087, 0.000)
Ga (0.009, 0.768, 0.015)
Ga (0.232, 0.991, 0.015)
Ga (0.484, 0.516, 0.915)
Ga (0.516, 0.484, 0.415)
Ga (0.768, 0.009, 0.515)
Ga (0.991, 0.232, 0.515)
H (0.253, 0.747, 0.559)
H (0.747, 0.253, 0.059)

***

# 3
Structure and computed X-ray diffraction stick pattern of Li2ThS3 (a DFT-relaxed cell (GGA-PBE, Alexandria); Cu Ka).
Lines closer than 0.1° are merged.

Principal peaks in the range 2θ = 5–70°, low angle first:
2θ (°)	intensity
14.5	100.0
14.8	15.8
17.5	22.8
23.3	34.2
26.8	23.4
29.7	19.8
32.0	34.0
32.3	47.3
32.6	14.4
46.1	34.5

Cell and atoms:
Lattice parameters (Å, degrees): 13.229 12.588 6.787 80.06 69.59 30.35
Fractional positions:
Li (0.041, 0.041, 0.209)
Li (0.126, 0.126, 0.624)
Li (0.209, 0.209, 0.041)
Li (0.376, 0.376, 0.874)
Li (0.624, 0.624, 0.126)
Li (0.791, 0.791, 0.959)
Li (0.874, 0.874, 0.376)
Li (0.959, 0.959, 0.791)
Th (0.292, 0.292, 0.458)
Th (0.458, 0.458, 0.292)
Th (0.542, 0.542, 0.708)
Th (0.708, 0.708, 0.542)
S (0.045, 0.536, 0.209)
S (0.122, 0.628, 0.628)
S (0.209, 0.710, 0.045)
S (0.290, 0.791, 0.464)
S (0.372, 0.878, 0.878)
S (0.464, 0.955, 0.290)
S (0.536, 0.045, 0.710)
S (0.628, 0.122, 0.122)
S (0.710, 0.209, 0.536)
S (0.791, 0.290, 0.955)
S (0.878, 0.372, 0.372)
S (0.955, 0.464, 0.791)

***

# 4
Structure and computed X-ray diffraction stick pattern of Li7N2Cl (a DFT-relaxed cell (GGA-PBE, Alexandria); Cu Ka).
Lines closer than 0.1° are merged.

Principal peaks in the range 2θ = 5–70°, low angle first:
2θ (°)	intensity
16.1	45.7
27.5	59.8
28.4	100.0
28.9	63.4
29.0	84.3
37.5	24.3
40.3	23.1
47.5	25.6
49.1	31.1
49.6	30.8

Cell and atoms:
Lattice parameters (Å, degrees): 6.160 6.160 3.830 90.00 90.00 116.43
Fractional positions:
Li (0.000, 0.000, 0.000)
Li (0.156, 0.464, 0.000)
Li (0.189, 0.811, 0.500)
Li (0.464, 0.156, 0.000)
Li (0.536, 0.844, 0.000)
Li (0.811, 0.189, 0.500)
Li (0.844, 0.536, 0.000)
N (0.187, 0.813, 0.000)
N (0.813, 0.187, 0.000)
Cl (0.500, 0.500, 0.500)

***

What did the fourth record say?
Structure and computed X-ray diffraction stick pattern of Li7N2Cl (a DFT-relaxed cell (GGA-PBE, Alexandria); Cu Ka).
Lines closer than 0.1° are merged.

Principal peaks in the range 2θ = 5–70°, low angle first:
2θ (°)	intensity
16.1	45.7
27.5	59.8
28.4	100.0
28.9	63.4
29.0	84.3
37.5	24.3
40.3	23.1
47.5	25.6
49.1	31.1
49.6	30.8

Cell and atoms:
Lattice parameters (Å, degrees): 6.160 6.160 3.830 90.00 90.00 116.43
Fractional positions:
Li (0.000, 0.000, 0.000)
Li (0.156, 0.464, 0.000)
Li (0.189, 0.811, 0.500)
Li (0.464, 0.156, 0.000)
Li (0.536, 0.844, 0.000)
Li (0.811, 0.189, 0.500)
Li (0.844, 0.536, 0.000)
N (0.187, 0.813, 0.000)
N (0.813, 0.187, 0.000)
Cl (0.500, 0.500, 0.500)

***

Copy entry 2 word for word.
Structure and computed X-ray diffraction stick pattern of Er6Ga3H (a DFT-relaxed cell (GGA-PBE, Alexandria); Cu Ka).
Lines closer than 0.1° are merged.

Principal peaks in the range 2θ = 5–70°, low angle first:
2θ (°)	intensity
28.4	33.7
29.4	13.0
30.4	20.4
31.2	14.5
33.4	19.0
34.2	100.0
36.1	13.5
37.3	23.8
40.0	14.0
55.3	16.0

Cell and atoms:
Lattice parameters (Å, degrees): 8.827 8.827 6.073 90.00 90.00 99.36
Fractional positions:
Er (0.087, 0.913, 0.500)
Er (0.123, 0.533, 0.711)
Er (0.230, 0.320, 0.178)
Er (0.304, 0.696, 0.218)
Er (0.320, 0.230, 0.678)
Er (0.467, 0.877, 0.711)
Er (0.533, 0.123, 0.211)
Er (0.680, 0.770, 0.178)
Er (0.696, 0.304, 0.718)
Er (0.770, 0.680, 0.678)
Er (0.877, 0.467, 0.211)
Er (0.913, 0.087, 0.000)
Ga (0.009, 0.768, 0.015)
Ga (0.232, 0.991, 0.015)
Ga (0.484, 0.516, 0.915)
Ga (0.516, 0.484, 0.415)
Ga (0.768, 0.009, 0.515)
Ga (0.991, 0.232, 0.515)
H (0.253, 0.747, 0.559)
H (0.747, 0.253, 0.059)